Starting from DFT lattice parameters and positions (PBE), the powder XRD pattern of TbWS was calculated for Cu Kα, 1.54184 Å.
No peak broadening, texture or thermal motion is included.

Cell and atoms:
abc: 3.6689 3.6689 8.7470
angles: 90.00 90.00 90.00
Fractional positions:
Tb (0.2500, 0.2500, 0.1982)
Tb (0.7500, 0.7500, 0.8018)
W (0.2500, 0.2500, 0.5666)
W (0.7500, 0.7500, 0.4334)
S (0.2500, 0.2500, 0.8565)
S (0.7500, 0.7500, 0.1435)

The 10 most intense peaks (2θ from 5° to 70°), in order of rising 2θ:
10.11°, intensity 52; 30.66°, intensity 23; 31.84°, intensity 70; 34.57°, intensity 100; 39.48°, intensity 76; 46.88°, intensity 29; 49.70°, intensity 36; 60.24°, intensity 24; 65.25°, intensity 35; 69.36°, intensity 15